(1)
Starting from a PBE-relaxed structure, the X-ray powder pattern of Li2Ga3Pd4 was simulated for λ = 1.5418 Å (Cu Kα).
Kinematic intensities with the Lorentz-polarization factor, no thermal factor.

Most intense lines, 10 to 80 degrees two-theta, in order of falling intensity:
two_theta  I (rel.)
40.42  100.0
40.92  51.2
40.94  47.0
44.08  41.5
44.95  38.9
28.01  36.1
64.77  24.7
71.65  21.3

```
data_Li2Ga3Pd4
_cell_length_a 4.0334
_cell_length_b 4.4890
_cell_length_c 8.1473
_cell_angle_alpha 81.04
_cell_angle_beta 89.95
_cell_angle_gamma 63.30
_space_group_name_H-M_alt 'P -1'
_space_group_IT_number 2
loop_
_space_group_symop_operation_xyz
'x,y,z'
'-x,-y,-z'
loop_
_atom_site_label
_atom_site_type_symbol
_atom_site_fract_x
_atom_site_fract_y
_atom_site_fract_z
Li1 Li 0.1779 0.1430 0.2200
Ga1 Ga 0.1567 0.1880 0.5736
Ga2 Ga 0.5000 0.5000 0.0000
Pd1 Pd 0.1630 0.1746 0.8917
Pd2 Pd 0.4766 0.5486 0.6706
```

(2)
Starting from a PBE-relaxed structure, the X-ray powder pattern of Li4GaPd2 was simulated for λ = 1.5418 Å (Cu Kα).
Kinematic intensities with the Lorentz-polarization factor, no thermal factor.

Most intense lines, 10 to 80 degrees two-theta, in order of falling intensity:
two_theta  I (rel.)
14.92  100.0
34.81  47.0
40.41  42.1
15.11  40.0
26.28  30.0
42.58  26.3
47.19  21.2
41.23  19.7

```
data_Li4GaPd2
_cell_length_a 13.3963
_cell_length_b 2.7859
_cell_length_c 6.7838
_cell_angle_alpha 90.00
_cell_angle_beta 118.93
_cell_angle_gamma 90.00
_space_group_name_H-M_alt 'C 1 2/m 1'
_space_group_IT_number 12
loop_
_space_group_symop_operation_xyz
'x,y,z'
'-x,-y,-z'
'-x,y,-z'
'x,-y,z'
'x+1/2,y+1/2,z'
'-x+1/2,-y+1/2,-z'
'-x+1/2,y+1/2,-z'
'x+1/2,-y+1/2,z'
loop_
_atom_site_label
_atom_site_type_symbol
_atom_site_fract_x
_atom_site_fract_y
_atom_site_fract_z
Li1 Li 0.0949 0.0000 0.2255
Li2 Li 0.1467 0.5000 0.8998
Ga1 Ga 0.0000 0.0000 0.5000
Pd1 Pd 0.2154 0.0000 0.6480
```

(3)
Starting from a PBE-relaxed structure, the X-ray powder pattern of Li4Ga3Pd2 was simulated for λ = 1.5418 Å (Cu Kα).
Kinematic intensities with the Lorentz-polarization factor, no thermal factor.

Most intense lines, 10 to 80 degrees two-theta, in order of falling intensity:
two_theta  I (rel.)
22.66  100.0
26.11  44.7
40.97  36.1
40.69  36.1
41.30  35.7
41.75  34.9
41.55  34.9
43.07  31.4

```
data_Li4Ga3Pd2
_cell_length_a 4.3780
_cell_length_b 5.0170
_cell_length_c 6.7310
_cell_angle_alpha 98.20
_cell_angle_beta 92.97
_cell_angle_gamma 115.54
_space_group_name_H-M_alt 'P -1'
_space_group_IT_number 2
loop_
_space_group_symop_operation_xyz
'x,y,z'
'-x,-y,-z'
loop_
_atom_site_label
_atom_site_type_symbol
_atom_site_fract_x
_atom_site_fract_y
_atom_site_fract_z
Li1 Li 0.0626 0.1029 0.3310
Li2 Li 0.1736 0.3482 0.9919
Ga1 Ga 0.2716 0.5596 0.6603
Ga2 Ga 0.5000 0.0000 0.0000
Pd1 Pd 0.3885 0.7589 0.3236
```

(4)
Starting from a PBE-relaxed structure, the X-ray powder pattern of Li4GaPd3 was simulated for λ = 1.5418 Å (Cu Kα).
Kinematic intensities with the Lorentz-polarization factor, no thermal factor.

Most intense lines, 10 to 80 degrees two-theta, in order of falling intensity:
two_theta  I (rel.)
10.10  100.0
42.29  78.3
41.23  42.0
25.42  30.6
30.68  26.6
75.89  26.6
38.16  18.4
20.91  16.8

```
data_Li4GaPd3
_cell_length_a 18.0495
_cell_length_b 2.9537
_cell_length_c 4.3800
_cell_angle_alpha 90.00
_cell_angle_beta 104.04
_cell_angle_gamma 90.00
_space_group_name_H-M_alt 'C 1 2/m 1'
_space_group_IT_number 12
loop_
_space_group_symop_operation_xyz
'x,y,z'
'-x,-y,-z'
'-x,y,-z'
'x,-y,z'
'x+1/2,y+1/2,z'
'-x+1/2,-y+1/2,-z'
'-x+1/2,y+1/2,-z'
'x+1/2,-y+1/2,z'
loop_
_atom_site_label
_atom_site_type_symbol
_atom_site_fract_x
_atom_site_fract_y
_atom_site_fract_z
Li1 Li 0.1198 0.0000 0.1179
Li2 Li 0.2467 0.5000 0.2468
Ga1 Ga 0.0000 0.0000 0.5000
Pd1 Pd 0.0000 0.5000 0.0000
Pd2 Pd 0.1266 0.5000 0.6248
```

(5)
Starting from a PBE-relaxed structure, the X-ray powder pattern of Li6GaPd6 was simulated for λ = 1.5418 Å (Cu Kα).
Kinematic intensities with the Lorentz-polarization factor, no thermal factor.

Most intense lines, 10 to 80 degrees two-theta, in order of falling intensity:
two_theta  I (rel.)
36.72  100.0
42.54  50.5
20.73  45.8
29.64  30.5
37.98  28.8
77.35  21.3
47.55  18.8
66.14  17.2

```
data_Li6GaPd6
_cell_length_a 4.8944
_cell_length_b 4.8944
_cell_length_c 8.5703
_cell_angle_alpha 90.00
_cell_angle_beta 90.00
_cell_angle_gamma 120.00
_space_group_name_H-M_alt 'P 6/m m m'
_space_group_IT_number 191
_space_group_name_Hall '-P 6 2'
loop_
_atom_site_label
_atom_site_type_symbol
_atom_site_fract_x
_atom_site_fract_y
_atom_site_fract_z
Li1 Li 0.0000 0.5000 0.2476
Ga1 Ga 0.0000 0.0000 0.0000
Pd1 Pd 0.0000 0.0000 0.3468
Pd2 Pd 0.3333 0.6667 0.0000
Pd3 Pd 0.3333 0.6667 0.5000
```

(6)
Starting from a PBE-relaxed structure, the X-ray powder pattern of Li4Ga4Pd was simulated for λ = 1.5418 Å (Cu Kα).
Kinematic intensities with the Lorentz-polarization factor, no thermal factor.

Most intense lines, 10 to 80 degrees two-theta, in order of falling intensity:
two_theta  I (rel.)
39.76  100.0
25.06  61.6
46.23  48.1
21.34  35.8
67.46  29.6
34.04  27.1
45.56  18.5
60.36  15.8

```
data_Li4Ga4Pd
_cell_length_a 8.3280
_cell_length_b 8.3280
_cell_length_c 3.9295
_cell_angle_alpha 90.00
_cell_angle_beta 90.00
_cell_angle_gamma 90.00
_space_group_name_H-M_alt 'I 4/m m m'
_space_group_IT_number 139
_space_group_name_Hall '-I 4 2'
loop_
_atom_site_label
_atom_site_type_symbol
_atom_site_fract_x
_atom_site_fract_y
_atom_site_fract_z
Li1 Li 0.1644 0.1644 0.0000
Ga1 Ga 0.0000 0.3244 0.5000
Pd1 Pd 0.0000 0.0000 0.5000
```